Structure and calculated X-ray powder pattern of Sn4HgPb (DFT lattice parameters and positions (GGA-PBE); Cu Kα X-rays).
No peak broadening, texture or thermal motion is included.

Cell and atoms:
```
Sn4HgPb
1.0
4.1739 -4.7773 0.0000
4.1739 4.7773 0.0000
-3.5725 0.0000 4.1966
Sn Hg Pb
4 1 1
Direct
0.0823 0.4162 0.2490 Sn
0.4162 0.0823 0.2490 Sn
0.5838 0.9177 0.7510 Sn
0.9177 0.5838 0.7510 Sn
0.5000 0.5000 0.0000 Hg
0.0000 0.0000 0.5000 Pb
```

Top 6 peaks for 10 to 90 degrees two-theta, in order of falling intensity:
| Position (°2θ) | d_spacing | I (rel.) |
| --- | --- | --- |
| 32.5 | 2.757 | 100 |
| 33.7 | 2.662 | 32 |
| 33.9 | 2.646 | 32 |
| 34.1 | 2.629 | 31 |
| 57.9 | 1.592 | 20 |
| 47.3 | 1.921 | 13 |

=====

Structure and calculated X-ray powder pattern of SnHgPb4 (DFT lattice parameters and positions (GGA-PBE); Cu Kα X-rays).
No peak broadening, texture or thermal motion is included.

Cell and atoms:
```
SnHgPb4
1.0
1.7528 -8.8236 0.0000
1.7528 8.8236 0.0000
0.0000 0.0000 11.6087
Sn Hg Pb
2 2 8
Direct
0.2189 0.7811 0.5000 Sn
0.7811 0.2189 0.0000 Sn
0.3434 0.6566 0.7511 Hg
0.6566 0.3434 0.2511 Hg
0.0091 0.9909 0.7478 Pb
0.1182 0.8818 0.0052 Pb
0.3177 0.6823 0.2473 Pb
0.4438 0.5562 0.9931 Pb
0.5562 0.4438 0.4931 Pb
0.6823 0.3177 0.7473 Pb
0.8818 0.1182 0.5052 Pb
0.9909 0.0091 0.2478 Pb
```

Top 6 peaks for 10 to 90 degrees two-theta, in order of falling intensity:
| Position (°2θ) | d_spacing | I (rel.) |
| --- | --- | --- |
| 33.5 | 2.673 | 100 |
| 30.8 | 2.902 | 51 |
| 30.7 | 2.915 | 35 |
| 34.2 | 2.624 | 35 |
| 56.5 | 1.628 | 23 |
| 31.4 | 2.851 | 23 |

=====

Structure and calculated X-ray powder pattern of SnHg2Pb5 (DFT lattice parameters and positions (GGA-PBE); Cu Kα X-rays).
No peak broadening, texture or thermal motion is included.

Cell and atoms:
```
SnHg2Pb5
1.0
-4.0624 4.0624 3.5835
4.0624 -4.0624 3.5835
4.0624 4.0624 -3.5835
Sn Hg Pb
1 2 5
Direct
0.0000 0.0000 0.0000 Sn
0.0000 0.5000 0.5000 Hg
0.5000 0.0000 0.5000 Hg
0.0000 0.0000 0.5000 Pb
0.0000 0.5000 0.0000 Pb
0.5000 0.0000 0.0000 Pb
0.5000 0.5000 0.0000 Pb
0.5000 0.5000 0.5000 Pb
```

Top 6 peaks for 10 to 90 degrees two-theta, in order of falling intensity:
| Position (°2θ) | d_spacing | I (rel.) |
| --- | --- | --- |
| 33.3 | 2.687 | 100 |
| 31.1 | 2.873 | 60 |
| 56.8 | 1.620 | 45 |
| 44.6 | 2.031 | 23 |
| 60.9 | 1.520 | 18 |
| 70.0 | 1.344 | 12 |

=====

Structure and calculated X-ray powder pattern of Sn2Hg3Pb3 (DFT lattice parameters and positions (GGA-PBE); Cu Kα X-rays).
No peak broadening, texture or thermal motion is included.

Cell and atoms:
```
Sn2Hg3Pb3
1.0
5.8930 -2.7607 0.0000
5.8930 2.7607 0.0000
-0.3695 0.0000 7.1692
Sn Hg Pb
2 3 3
Direct
0.2486 0.2486 0.2722 Sn
0.7514 0.7514 0.7278 Sn
0.0000 0.0000 0.0000 Hg
0.1233 0.1233 0.6323 Hg
0.8767 0.8767 0.3677 Hg
0.3671 0.3671 0.8923 Pb
0.5000 0.5000 0.5000 Pb
0.6329 0.6329 0.1077 Pb
```

Top 6 peaks for 10 to 90 degrees two-theta, in order of falling intensity:
| Position (°2θ) | d_spacing | I (rel.) |
| --- | --- | --- |
| 31.1 | 2.876 | 100 |
| 28.5 | 3.134 | 60 |
| 32.4 | 2.761 | 45 |
| 42.3 | 2.138 | 42 |
| 43.1 | 2.101 | 40 |
| 43.7 | 2.072 | 39 |

=====

Structure and calculated X-ray powder pattern of SnHgPb4 (DFT lattice parameters and positions (GGA-PBE); Cu Kα X-rays).
No peak broadening, texture or thermal motion is included.

Cell and atoms:
```
SnHgPb4
1.0
5.8068 0.0000 0.0000
0.0000 6.7902 0.0000
-1.3998 0.0000 9.1548
Sn Hg Pb
2 2 8
Direct
0.2176 0.2500 0.4015 Sn
0.7824 0.7500 0.5985 Sn
0.2885 0.2500 0.0790 Hg
0.7115 0.7500 0.9210 Hg
0.2211 0.7500 0.0612 Pb
0.2490 0.7500 0.4183 Pb
0.2735 0.0060 0.7414 Pb
0.2735 0.4940 0.7414 Pb
0.7265 0.5060 0.2586 Pb
0.7265 0.9940 0.2586 Pb
0.7510 0.2500 0.5817 Pb
0.7789 0.2500 0.9388 Pb
```

Top 6 peaks for 10 to 90 degrees two-theta, in order of falling intensity:
| Position (°2θ) | d_spacing | I (rel.) |
| --- | --- | --- |
| 32.9 | 2.725 | 100 |
| 31.0 | 2.881 | 56 |
| 31.2 | 2.870 | 53 |
| 31.4 | 2.848 | 45 |
| 35.3 | 2.540 | 39 |
| 63.7 | 1.462 | 30 |

=====

Structure and calculated X-ray powder pattern of SnHg8Pb2 (DFT lattice parameters and positions (GGA-PBE); Cu Kα X-rays).
No peak broadening, texture or thermal motion is included.

Cell and atoms:
```
SnHg8Pb2
1.0
4.7965 -8.8994 0.0000
4.7965 8.8994 0.0000
-0.0619 0.0000 3.7558
Sn Hg Pb
1 8 2
Direct
0.0000 0.0000 0.0000 Sn
0.0555 0.2964 0.5190 Hg
0.2239 0.7761 0.0000 Hg
0.2964 0.0555 0.5190 Hg
0.3399 0.3399 0.0150 Hg
0.6601 0.6601 0.9850 Hg
0.7036 0.9445 0.4810 Hg
0.7761 0.2239 0.0000 Hg
0.9445 0.7036 0.4810 Hg
0.3632 0.6368 0.5000 Pb
0.6368 0.3632 0.5000 Pb
```

Top 6 peaks for 10 to 90 degrees two-theta, in order of falling intensity:
| Position (°2θ) | d_spacing | I (rel.) |
| --- | --- | --- |
| 31.2 | 2.870 | 100 |
| 37.8 | 2.379 | 38 |
| 31.8 | 2.815 | 33 |
| 37.0 | 2.432 | 32 |
| 37.6 | 2.393 | 31 |
| 40.5 | 2.225 | 19 |

=====

Structure and calculated X-ray powder pattern of SnHg3Pb4 (DFT lattice parameters and positions (GGA-PBE); Cu Kα X-rays).
No peak broadening, texture or thermal motion is included.

Cell and atoms:
```
SnHg3Pb4
1.0
9.0653 -2.5592 0.0000
9.0653 2.5592 0.0000
-1.4133 0.0000 4.9178
Sn Hg Pb
1 3 4
Direct
0.0000 0.0000 0.0000 Sn
0.2524 0.2524 0.2521 Hg
0.5000 0.5000 0.5000 Hg
0.7476 0.7476 0.7479 Hg
0.1264 0.1264 0.6264 Pb
0.3736 0.3736 0.8725 Pb
0.6264 0.6264 0.1275 Pb
0.8736 0.8736 0.3736 Pb
```

Top 6 peaks for 10 to 90 degrees two-theta, in order of falling intensity:
| Position (°2θ) | d_spacing | I (rel.) |
| --- | --- | --- |
| 32.1 | 2.790 | 100 |
| 32.2 | 2.778 | 99 |
| 35.1 | 2.559 | 79 |
| 61.0 | 1.519 | 33 |
| 50.4 | 1.809 | 29 |
| 41.5 | 2.178 | 25 |

=====

Structure and calculated X-ray powder pattern of Tl2SnHg2Pb (DFT lattice parameters and positions (GGA-PBE); Cu Kα X-rays).
No peak broadening, texture or thermal motion is included.

Cell and atoms:
```
Tl2SnHg2Pb
1.0
4.8436 0.0000 0.0000
0.0000 9.9928 0.0000
0.0000 0.0000 7.2550
Tl Sn Hg Pb
4 2 4 2
Direct
0.0000 0.0561 0.0000 Tl
0.0000 0.9439 0.5000 Tl
0.5000 0.1754 0.3014 Tl
0.5000 0.8246 0.8014 Tl
0.0000 0.3277 0.6175 Sn
0.0000 0.6723 0.1175 Sn
0.0000 0.3646 0.1845 Hg
0.0000 0.6354 0.6845 Hg
0.5000 0.1539 0.7443 Hg
0.5000 0.8461 0.2443 Hg
0.5000 0.4660 0.9180 Pb
0.5000 0.5340 0.4180 Pb
```

Top 6 peaks for 10 to 90 degrees two-theta, in order of falling intensity:
| Position (°2θ) | d_spacing | I (rel.) |
| --- | --- | --- |
| 32.6 | 2.745 | 100 |
| 32.1 | 2.788 | 92 |
| 30.8 | 2.903 | 54 |
| 37.1 | 2.422 | 51 |
| 30.5 | 2.935 | 29 |
| 28.5 | 3.136 | 26 |

=====

Structure and calculated X-ray powder pattern of Tl2SnHg2Pb2 (DFT lattice parameters and positions (GGA-PBE); Cu Kα X-rays).
No peak broadening, texture or thermal motion is included.

Cell and atoms:
```
Tl2SnHg2Pb2
1.0
5.1321 0.0000 0.0000
-2.5660 4.4445 0.0000
0.0000 0.0000 9.8112
Tl Sn Hg Pb
2 1 2 2
Direct
0.3333 0.6667 0.4276 Tl
0.6667 0.3333 0.5724 Tl
0.0000 0.0000 0.0000 Sn
0.3333 0.6667 0.8782 Hg
0.6667 0.3333 0.1218 Hg
0.0000 0.0000 0.3146 Pb
0.0000 0.0000 0.6854 Pb
```

Top 6 peaks for 10 to 90 degrees two-theta, in order of falling intensity:
| Position (°2θ) | d_spacing | I (rel.) |
| --- | --- | --- |
| 27.1 | 3.294 | 100 |
| 35.0 | 2.566 | 98 |
| 34.0 | 2.634 | 56 |
| 44.8 | 2.024 | 26 |
| 58.0 | 1.589 | 25 |
| 62.1 | 1.494 | 20 |

=====

Structure and calculated X-ray powder pattern of Tl2SnHgPb (DFT lattice parameters and positions (GGA-PBE); Cu Kα X-rays).
No peak broadening, texture or thermal motion is included.

Cell and atoms:
```
Tl2SnHgPb
1.0
1.8077 -8.3069 0.0000
1.8077 8.3069 0.0000
0.0000 0.0000 10.4445
Tl Sn Hg Pb
4 2 2 2
Direct
0.1676 0.8324 0.5739 Tl
0.1676 0.8324 0.9261 Tl
0.8324 0.1676 0.0739 Tl
0.8324 0.1676 0.4261 Tl
0.0330 0.9670 0.2500 Sn
0.9670 0.0330 0.7500 Sn
0.2090 0.7910 0.2500 Hg
0.7910 0.2090 0.7500 Hg
0.5000 0.5000 0.0000 Pb
0.5000 0.5000 0.5000 Pb
```

Top 6 peaks for 10 to 90 degrees two-theta, in order of falling intensity:
| Position (°2θ) | d_spacing | I (rel.) |
| --- | --- | --- |
| 29.5 | 3.027 | 100 |
| 36.2 | 2.480 | 89 |
| 27.8 | 3.211 | 66 |
| 34.2 | 2.619 | 53 |
| 40.8 | 2.213 | 43 |
| 32.3 | 2.769 | 39 |

=====

Structure and calculated X-ray powder pattern of TlSnHgPb (DFT lattice parameters and positions (GGA-PBE); Cu Kα X-rays).
No peak broadening, texture or thermal motion is included.

Cell and atoms:
```
TlSnHgPb
1.0
0.0000 3.8668 3.8668
3.8668 0.0000 3.8668
3.8668 3.8668 0.0000
Tl Sn Hg Pb
1 1 1 1
Direct
0.0000 0.0000 0.0000 Tl
0.2500 0.2500 0.2500 Sn
0.7500 0.7500 0.7500 Hg
0.5000 0.5000 0.5000 Pb
```

Top 6 peaks for 10 to 90 degrees two-theta, in order of falling intensity:
| Position (°2θ) | d_spacing | I (rel.) |
| --- | --- | --- |
| 32.8 | 2.734 | 100 |
| 58.5 | 1.579 | 39 |
| 47.0 | 1.933 | 19 |
| 78.2 | 1.223 | 17 |
| 68.7 | 1.367 | 12 |
| 87.4 | 1.116 | 5 |

=====

Structure and calculated X-ray powder pattern of Sr3Hg2Pb4 (DFT lattice parameters and positions (GGA-PBE); Cu Kα X-rays).
No peak broadening, texture or thermal motion is included.

Cell and atoms:
```
Sr3Hg2Pb4
1.0
6.3227 -2.5233 0.0000
6.3227 2.5233 0.0000
-5.5800 0.0000 9.3936
Sr Hg Pb
3 2 4
Direct
0.0000 0.0000 0.0000 Sr
0.3164 0.3164 0.3671 Sr
0.6836 0.6836 0.6329 Sr
0.4077 0.4077 0.7427 Hg
0.5923 0.5923 0.2573 Hg
0.0213 0.0213 0.3599 Pb
0.2573 0.2573 0.9116 Pb
0.7427 0.7427 0.0884 Pb
0.9787 0.9787 0.6401 Pb
```

Top 6 peaks for 10 to 90 degrees two-theta, in order of falling intensity:
| Position (°2θ) | d_spacing | I (rel.) |
| --- | --- | --- |
| 31.9 | 2.802 | 100 |
| 35.6 | 2.524 | 51 |
| 30.0 | 2.974 | 49 |
| 22.7 | 3.917 | 38 |
| 30.4 | 2.944 | 33 |
| 39.9 | 2.259 | 33 |

=====

Structure and calculated X-ray powder pattern of SrHg2Pb6 (DFT lattice parameters and positions (GGA-PBE); Cu Kα X-rays).
No peak broadening, texture or thermal motion is included.

Cell and atoms:
```
SrHg2Pb6
1.0
5.8758 -2.4844 0.0000
5.8758 2.4844 0.0000
-4.4217 0.0000 9.5014
Sr Hg Pb
1 2 6
Direct
0.0000 0.0000 0.0000 Sr
0.3366 0.3366 0.7797 Hg
0.6634 0.6634 0.2203 Hg
0.0030 0.0030 0.6578 Pb
0.3235 0.3235 0.4319 Pb
0.3321 0.3321 0.1097 Pb
0.6679 0.6679 0.8903 Pb
0.6765 0.6765 0.5681 Pb
0.9970 0.9970 0.3422 Pb
```

Top 6 peaks for 10 to 90 degrees two-theta, in order of falling intensity:
| Position (°2θ) | d_spacing | I (rel.) |
| --- | --- | --- |
| 31.0 | 2.889 | 100 |
| 31.5 | 2.840 | 95 |
| 33.6 | 2.667 | 40 |
| 36.2 | 2.484 | 34 |
| 38.7 | 2.325 | 28 |
| 50.2 | 1.818 | 27 |

=====

Structure and calculated X-ray powder pattern of Sr3Hg3Pb2 (DFT lattice parameters and positions (GGA-PBE); Cu Kα X-rays).
No peak broadening, texture or thermal motion is included.

Cell and atoms:
```
Sr3Hg3Pb2
1.0
2.4665 -6.1346 0.0000
2.4665 6.1346 0.0000
0.0000 0.0000 17.0497
Sr Hg Pb
6 6 4
Direct
0.0816 0.9184 0.6050 Sr
0.0816 0.9184 0.8950 Sr
0.3571 0.6429 0.7500 Sr
0.6429 0.3571 0.2500 Sr
0.9184 0.0816 0.1050 Sr
0.9184 0.0816 0.3950 Sr
0.3732 0.6268 0.2500 Hg
0.3872 0.6128 0.5339 Hg
0.3872 0.6128 0.9661 Hg
0.6128 0.3872 0.0339 Hg
0.6128 0.3872 0.4661 Hg
0.6268 0.3732 0.7500 Hg
0.2105 0.7895 0.1071 Pb
0.2105 0.7895 0.3929 Pb
0.7895 0.2105 0.6071 Pb
0.7895 0.2105 0.8929 Pb
```

Top 6 peaks for 10 to 90 degrees two-theta, in order of falling intensity:
| Position (°2θ) | d_spacing | I (rel.) |
| --- | --- | --- |
| 32.5 | 2.754 | 100 |
| 28.6 | 3.119 | 99 |
| 36.4 | 2.467 | 56 |
| 35.4 | 2.532 | 55 |
| 42.0 | 2.150 | 39 |
| 21.3 | 4.169 | 38 |